Starting from a crystal structure in Alexandria, relaxed with GGA-PBE, the XRD peak list of Zr6InOs was calculated for Cu Kα (weighted mean of Kα1 and Kα2).
Neutral-atom scattering factors, no anomalous dispersion.

Most intense lines, 10 to 80 degrees two-theta, most intense first:
(hkl)	2θ/deg	I_rel
1 2 2	39.16	100
3 -1 1	34.94	71
2 0 2	32.19	58
2 -1 3	37.25	39
4 1 0	59.75	33
1 0 4	42.29	31
3 0 0	38.06	25
1 1 0	21.70	18
4 0 4	67.34	16
5 -3 2	60.54	16

Structure:
Cell: 8.1892 8.1892 8.9659 Å, 90.00 90.00 120.00°
Space group R-3 (No. 148, hexagonal axes)
One atom of each set of equivalent atoms:
Zr (0.0151, 0.7734, 0.2215) x18
In (0.0000, 0.0000, 0.5000) x3
Os (0.0000, 0.0000, 0.0000) x3

***

Starting from a crystal structure in Alexandria, relaxed with GGA-PBE, the XRD peak list of CePm3Tm8 was calculated for Cu Kα (weighted mean of Kα1 and Kα2).
Neutral-atom scattering factors, no anomalous dispersion.

Most intense lines, 10 to 80 degrees two-theta, most intense first:
(hkl)	2θ/deg	I_rel
0 2 2	32.88	100
0 4 0	31.78	24
3 0 1	28.68	24
6 4 0	61.19	23
0 6 2	57.32	21
3 4 1	43.33	16
3 0 3	50.78	13
6 2 2	61.90	11
6 0 0	50.88	7
0 2 4	61.77	5

Structure:
Cell: 10.7678 11.2632 6.2327 Å, 90.00 90.00 90.00°
Space group Imm2 (No. 44)
One atom of each set of equivalent atoms:
Ce (0.0000, 0.0000, 0.0000) x2
Pm (0.0000, 0.2486, 0.6652) x4
Pm (0.0000, 0.5000, 0.9995) x2
Tm (0.1660, 0.2496, 0.1630) x8
Tm (0.1671, 0.0000, 0.4921) x4
Tm (0.1698, 0.5000, 0.4952) x4

***

Starting from a crystal structure in Alexandria, relaxed with GGA-PBE, the XRD peak list of Ga2FeNi9 was calculated for Cu Kα (weighted mean of Kα1 and Kα2).
Neutral-atom scattering factors, no anomalous dispersion.

Most intense lines, 10 to 80 degrees two-theta, most intense first:
(hkl)	2θ/deg	I_rel
1 1 3	43.96	100
2 0 0	51.11	31
2 0 6	75.43	18
0 0 6	51.40	15
2 2 0	75.19	9

Structure:
Cell: 3.5742 3.5742 10.6654 Å, 90.00 90.00 90.00°
Space group P4/mmm (No. 123)
One atom of each set of equivalent atoms:
Ga (0.0000, 0.0000, 0.1675) x2
Fe (0.0000, 0.0000, 0.5000) x1
Ni (0.0000, 0.5000, 0.0000) x2
Ni (0.0000, 0.5000, 0.3380) x4
Ni (0.5000, 0.5000, 0.1683) x2
Ni (0.5000, 0.5000, 0.5000) x1

***

Starting from a crystal structure in Alexandria, relaxed with GGA-PBE, the XRD peak list of Ba2CdReN4 was calculated for Cu Kα (weighted mean of Kα1 and Kα2).
Neutral-atom scattering factors, no anomalous dispersion.

Most intense lines, 10 to 80 degrees two-theta, most intense first:
(hkl)	2θ/deg	I_rel
0 2 6	30.39	100
1 1 3	21.88	77
2 2 0	35.35	72
0 4 0	30.11	50
0 0 4	17.46	48
2 0 6	41.79	47
1 3 3	30.62	46
2 4 6	52.36	43
0 2 2	17.30	32
0 6 6	53.65	21

Structure:
Cell: 5.6174 11.8734 20.3151 Å, 90.00 90.00 90.00°
Space group Fddd (No. 70, origin choice 2)
One atom of each set of equivalent atoms:
Ba (0.1250, 0.1250, 0.3041) x16
Cd (0.1250, 0.1250, 0.1250) x8
Re (0.1250, 0.1250, 0.6250) x8
N (0.0690, 0.2789, 0.8256) x32

***

Starting from a crystal structure in Alexandria, relaxed with GGA-PBE, the XRD peak list of HoCrOs was calculated for Cu Kα (weighted mean of Kα1 and Kα2).
Neutral-atom scattering factors, no anomalous dispersion.

Most intense lines, 10 to 80 degrees two-theta, most intense first:
(hkl)	2θ/deg	I_rel
1 1 1	20.97	100
0 4 4	39.46	79
1 3 3	34.93	66
2 2 4	45.92	57
1 1 7	39.11	46
0 0 8	37.86	40
1 3 5	39.90	30
2 0 2	38.83	21
2 2 0	41.55	20
1 3 11	63.16	19

Structure:
Cell: 4.7831 10.4144 19.0107 Å, 90.00 90.00 90.00°
Space group Fddd (No. 70, origin choice 2)
One atom of each set of equivalent atoms:
Ho (0.1250, 0.2725, 0.1250) x16
Cr (0.1250, 0.1250, 0.5332) x16
Os (0.1250, 0.1250, 0.2518) x16

***

Starting from a crystal structure in Alexandria, relaxed with GGA-PBE, the XRD peak list of ScBeMo was calculated for Cu Kα (weighted mean of Kα1 and Kα2).
Neutral-atom scattering factors, no anomalous dispersion.

Most intense lines, 10 to 80 degrees two-theta, most intense first:
(hkl)	2θ/deg	I_rel
1 1 0	40.29	100
0 1 3	39.43	97
0 1 1	27.76	97
1 0 3	42.51	77
0 0 2	19.32	68
1 0 1	31.82	68
1 1 4	57.47	38
1 2 3	70.54	32
0 0 4	39.21	31
1 1 2	45.05	30

Structure:
Cell: 2.9543 3.4306 9.1908 Å, 90.00 90.00 90.00°
Space group Imm2 (No. 44)
One atom of each set of equivalent atoms:
Sc (0.0000, 0.0000, 0.0000) x2
Be (0.0000, 0.0000, 0.6909) x2
Mo (0.0000, 0.0000, 0.3028) x2

***

Starting from a crystal structure in Alexandria, relaxed with GGA-PBE, the XRD peak list of Cs2NaTeO4 was calculated for Cu Kα (weighted mean of Kα1 and Kα2).
Neutral-atom scattering factors, no anomalous dispersion.

Most intense lines, 10 to 80 degrees two-theta, most intense first:
(hkl)	2θ/deg	I_rel
1 1 3	20.49	100
1 3 3	28.04	65
0 2 6	27.61	63
2 0 6	39.27	42
2 2 0	33.51	37
0 4 0	26.92	30
2 4 6	48.25	29
1 1 9	40.26	16
2 6 0	51.89	15
0 6 6	47.98	14

Structure:
Cell: 5.8464 13.2495 22.2013 Å, 90.00 90.00 90.00°
Space group Fddd (No. 70, origin choice 2)
One atom of each set of equivalent atoms:
Cs (0.1250, 0.1250, 0.3017) x16
Na (0.1250, 0.1250, 0.1250) x8
Te (0.1250, 0.1250, 0.6250) x8
O (0.0829, 0.2872, 0.8312) x32

***

Starting from a crystal structure in Alexandria, relaxed with GGA-PBE, the XRD peak list of UAg7S6 was calculated for Cu Kα (weighted mean of Kα1 and Kα2).
Neutral-atom scattering factors, no anomalous dispersion.

Most intense lines, 10 to 80 degrees two-theta, most intense first:
(hkl)	2θ/deg	I_rel
1 1 3	27.99	100
3 -1 1	37.67	63
2 -1 6	37.24	62
3 -2 5	44.42	47
3 -2 2	38.56	45
0 0 3	13.83	44
1 0 4	23.20	36
0 0 6	27.87	31
3 0 0	42.59	28
2 0 2	29.56	28

Structure:
Cell: 7.3530 7.3530 19.2068 Å, 90.00 90.00 120.00°
Space group R3 (No. 146, hexagonal axes)
One atom of each set of equivalent atoms:
U (0.0000, 0.0000, 0.0000) x3
Ag (0.0000, 0.0000, 0.3536) x3
Ag (0.0082, 0.2582, 0.2277) x9
Ag (0.1187, 0.6942, 0.3955) x9
S (0.0329, 0.2994, 0.0903) x9
S (0.0549, 0.7076, 0.5928) x9

***

Starting from a crystal structure in Alexandria, relaxed with GGA-PBE, the XRD peak list of LiBe2Cd was calculated for Cu Kα (weighted mean of Kα1 and Kα2).
Neutral-atom scattering factors, no anomalous dispersion.

Most intense lines, 10 to 80 degrees two-theta, most intense first:
(hkl)	2θ/deg	I_rel
0 0 1	13.81	100
1 0 1	34.35	54
1 0 2	42.35	46
1 0 0	31.29	32
1 1 2	53.58	26
0 0 2	27.84	22
1 1 1	47.14	19
1 1 0	44.84	17
1 1 3	63.34	10
2 1 1	75.89	10

Structure:
Cell: 2.8586 2.8586 6.4103 Å, 90.00 90.00 90.00°
Space group P4mm (No. 99)
One atom of each set of equivalent atoms:
Li (0.0000, 0.0000, 0.0000) x1
Be (0.0000, 0.0000, 0.3879) x1
Be (0.5000, 0.5000, 0.2523) x1
Cd (0.5000, 0.5000, 0.6836) x1

***

Starting from a crystal structure in Alexandria, relaxed with GGA-PBE, the XRD peak list of ScCdInSn was calculated for Cu Kα (weighted mean of Kα1 and Kα2).
Neutral-atom scattering factors, no anomalous dispersion.

Most intense lines, 10 to 80 degrees two-theta, most intense first:
(hkl)	2θ/deg	I_rel
1 1 1	34.50	100
0 0 2	37.89	19
0 2 0	40.63	16
2 0 0	41.53	15
1 1 3	66.27	14
1 3 1	70.00	12
3 1 1	71.25	12
0 2 2	56.77	12
2 0 2	57.47	11
2 2 2	72.74	11

Structure:
Cell: 4.3489 4.4409 4.7486 Å, 90.00 90.00 90.00°
Space group Pmmm (No. 47)
One atom of each set of equivalent atoms:
Sc (0.0000, 0.0000, 0.0000) x1
Cd (0.0000, 0.5000, 0.5000) x1
In (0.5000, 0.0000, 0.5000) x1
Sn (0.5000, 0.5000, 0.0000) x1

***

Starting from a crystal structure in Alexandria, relaxed with GGA-PBE, the XRD peak list of PmDyRhI was calculated for Cu Kα (weighted mean of Kα1 and Kα2).
Neutral-atom scattering factors, no anomalous dispersion.

Most intense lines, 10 to 80 degrees two-theta, most intense first:
(hkl)	2θ/deg	I_rel
0 1 5	31.27	100
1 1 0	44.14	46
1 0 4	29.17	31
1 0 10	45.45	20
2 0 5	55.08	20
0 0 3	11.01	19
0 1 2	26.14	17
1 2 5	73.14	17
1 1 9	56.49	15
1 0 7	36.32	12

Structure:
Cell: 4.1032 4.1032 24.1164 Å, 90.00 90.00 120.00°
Space group R3m (No. 160, hexagonal axes)
One atom of each set of equivalent atoms:
Pm (0.0000, 0.0000, 0.0000) x3
Dy (0.0000, 0.0000, 0.2114) x3
Rh (0.0000, 0.0000, 0.6033) x3
I (0.0000, 0.0000, 0.7748) x3

***

Starting from a crystal structure in Alexandria, relaxed with GGA-PBE, the XRD peak list of SmDy4Cu4 was calculated for Cu Kα (weighted mean of Kα1 and Kα2).
Neutral-atom scattering factors, no anomalous dispersion.

Most intense lines, 10 to 80 degrees two-theta, most intense first:
(hkl)	2θ/deg	I_rel
1 3 0	32.03	100
2 1 1	27.39	71
1 0 2	32.76	48
4 2 0	45.94	32
3 2 2	48.84	25
5 0 1	54.31	24
3 0 2	44.02	22
1 2 2	38.74	22
1 4 2	53.32	16
3 1 1	35.73	13

Structure:
Cell: 8.8352 8.8352 5.7493 Å, 90.00 90.00 90.00°
Space group P4_2/n (No. 86, origin choice 2)
One atom of each set of equivalent atoms:
Sm (0.2500, 0.2500, 0.2500) x2
Dy (0.0694, 0.6608, 0.1514) x8
Cu (0.0269, 0.6113, 0.6339) x8